Diffraction record for Ti4SnTe8. The powder diffractogram is simulated, not measured: it uses the PBE geometry in Alexandria and Cu Kα X-rays.

Largest 10 diffraction maxima, in order of rising 2θ, 10 to 90 degrees two-theta:
| d (Å) | 2θ (°) | I/Imax |
| --- | --- | --- |
| 7.793 | 11.35 | 16 |
| 3.896 | 22.82 | 17 |
| 3.184 | 28.02 | 36 |
| 2.880 | 31.06 | 100 |
| 2.190 | 41.21 | 39 |
| 1.910 | 47.60 | 36 |
| 1.715 | 53.41 | 10 |
| 1.592 | 57.92 | 16 |
| 1.364 | 68.83 | 13 |
| 1.223 | 78.15 | 13 |

Atomic structure:
Lattice parameters (Å, degrees): 7.6424 7.6424 23.3780 90.00 90.00 120.00
Space group R-3m (No. 166, hexagonal axes)
Symmetry-distinct sites (fractional):
Ti (0.0000, 0.0000, 0.0000) [3 per cell]
Ti (0.0000, 0.5000, 0.0000) [9 per cell]
Sn (0.0000, 0.0000, 0.5000) [3 per cell]
Te (0.0000, 0.0000, 0.2603) [6 per cell]
Te (0.0018, 0.5009, 0.7401) [18 per cell]